Theoretical powder diffractogram
Compound: Pr2Mn12Co5
Radiation: Cu Kα
Structure: DFT lattice parameters and positions (GGA-PBE)

Top 10 peaks for 2θ from 15° to 90°, in order of rising 2θ:
- 2θ = 30.3°, I 52
- 2θ = 35.8°, I 40
- 2θ = 41.5°, I 69
- 2θ = 41.6°, I 92
- 2θ = 42.5°, I 100
- 2θ = 45.2°, I 31
- 2θ = 46.6°, I 23
- 2θ = 47.6°, I 22
- 2θ = 61.0°, I 32
- 2θ = 75.9°, I 33

Atomic structure:
a = 8.6847 Å, b = 8.6847 Å, c = 8.0175 Å
α = 90.00°, β = 90.00°, γ = 120.00°
Element x y z (fractional)
Pr (0.0000, 0.0000, 0.2500)
Pr (0.0000, 0.0000, 0.7500)
Pr (0.3333, 0.6667, 0.2500)
Pr (0.6667, 0.3333, 0.7500)
Mn (0.0654, 0.3924, 0.7500)
Mn (0.0654, 0.6730, 0.7500)
Mn (0.1724, 0.3449, 0.0334)
Mn (0.1724, 0.3449, 0.4666)
Mn (0.1724, 0.8276, 0.0334)
Mn (0.1724, 0.8276, 0.4666)
Mn (0.3270, 0.3924, 0.7500)
Mn (0.3270, 0.9346, 0.7500)
Mn (0.3449, 0.1724, 0.5334)
Mn (0.3449, 0.1724, 0.9666)
Mn (0.3924, 0.0654, 0.2500)
Mn (0.3924, 0.3270, 0.2500)
Mn (0.6076, 0.6730, 0.7500)
Mn (0.6076, 0.9346, 0.7500)
Mn (0.6551, 0.8276, 0.0334)
Mn (0.6551, 0.8276, 0.4666)
Mn (0.6730, 0.0654, 0.2500)
Mn (0.6730, 0.6076, 0.2500)
Mn (0.8276, 0.1724, 0.5334)
Mn (0.8276, 0.1724, 0.9666)
Mn (0.8276, 0.6551, 0.5334)
Mn (0.8276, 0.6551, 0.9666)
Mn (0.9346, 0.3270, 0.2500)
Mn (0.9346, 0.6076, 0.2500)
Co (0.0000, 0.5000, 0.0000)
Co (0.0000, 0.5000, 0.5000)
Co (0.3333, 0.6667, 0.6043)
Co (0.3333, 0.6667, 0.8957)
Co (0.5000, 0.0000, 0.0000)
Co (0.5000, 0.0000, 0.5000)
Co (0.5000, 0.5000, 0.0000)
Co (0.5000, 0.5000, 0.5000)
Co (0.6667, 0.3333, 0.1043)
Co (0.6667, 0.3333, 0.3957)

Theoretical powder diffractogram
Compound: Pr2Mn4Co13
Radiation: Cu Kα
Structure: DFT lattice parameters and positions (GGA-PBE)

Top 10 peaks for 2θ from 15° to 90°, in order of rising 2θ:
- 2θ = 30.1°, I 37
- 2θ = 36.6°, I 39
- 2θ = 37.9°, I 30
- 2θ = 42.6°, I 64
- 2θ = 42.8°, I 100
- 2θ = 43.7°, I 54
- 2θ = 48.1°, I 24
- 2θ = 62.0°, I 28
- 2θ = 62.6°, I 27
- 2θ = 79.7°, I 17

Atomic structure:
a = 6.4202 Å, b = 6.4202 Å, c = 6.4202 Å
α = 82.88°, β = 82.88°, γ = 82.88°
Element x y z (fractional)
Pr (0.0000, 0.0000, 0.0000)
Pr (0.3167, 0.3167, 0.3167)
Mn (0.1646, 0.6533, 0.6533)
Mn (0.6533, 0.1646, 0.6533)
Mn (0.6533, 0.6533, 0.1646)
Mn (0.7517, 0.7517, 0.7517)
Co (0.0000, 0.0000, 0.5004)
Co (0.0000, 0.5004, 0.0000)
Co (0.3156, 0.3156, 0.8186)
Co (0.3156, 0.8186, 0.3156)
Co (0.3729, 0.6575, 0.9419)
Co (0.3729, 0.9419, 0.6575)
Co (0.5004, 0.0000, 0.0000)
Co (0.5609, 0.5609, 0.5609)
Co (0.6575, 0.3729, 0.9419)
Co (0.6575, 0.9419, 0.3729)
Co (0.8186, 0.3156, 0.3156)
Co (0.9419, 0.3729, 0.6575)
Co (0.9419, 0.6575, 0.3729)

Theoretical powder diffractogram
Compound: MnCoPt2
Radiation: Cu Kα
Structure: DFT lattice parameters and positions (GGA-PBE)

Top 10 peaks for 2θ from 15° to 90°, in order of rising 2θ:
- 2θ = 24.2°, I 26
- 2θ = 32.4°, I 26
- 2θ = 40.9°, I 100
- 2θ = 46.5°, I 35
- 2θ = 49.6°, I 14
- 2θ = 53.1°, I 14
- 2θ = 67.9°, I 11
- 2θ = 70.4°, I 19
- 2θ = 82.4°, I 26
- 2θ = 88.6°, I 11

Atomic structure:
a = 2.7616 Å, b = 2.7616 Å, c = 7.3480 Å
α = 90.00°, β = 90.00°, γ = 90.00°
Element x y z (fractional)
Mn (0.0000, 0.0000, 0.0000)
Co (0.0000, 0.0000, 0.5000)
Pt (0.5000, 0.5000, 0.2583)
Pt (0.5000, 0.5000, 0.7417)

Question: What is the formula in the first record?
Answer: Pr2Mn12Co5